This entry pairs a crystal structure of GeSb4Te7 with its computed powder diffraction line list. Radiation: Cu Kα, 1.54184 Å. Structure: the GGA-PBE geometry in the Materials Project.

Largest 8 diffraction maxima, by angle, 2θ from 15° to 90°:
d/Å	2θ/deg	intensity	index
3.188	27.99	100	0 1 4
2.359	38.15	30	1 0 8
2.162	41.78	39	1 1 0
2.038	44.44	10	1 0 10
1.789	51.04	19	2 0 4
1.594	57.85	9	0 2 8
1.379	68.01	16	1 2 4
1.354	69.44	10	1 1 14

Crystal structure
a b c (Å): 4.3242 4.3242 24.3022
angles (deg): 90.00 90.00 120.00
Space group P-3m1 (No. 164)
Inequivalent atoms, fractional coordinates:
Ge: 0.0000 0.0000 0.0000 (multiplicity 1)
Sb: 0.3333 0.6667 0.5819 (multiplicity 2)
Sb: 0.3333 0.6667 0.8469 (multiplicity 2)
Te: 0.0000 0.0000 0.2233 (multiplicity 2)
Te: 0.0000 0.0000 0.5000 (multiplicity 1)
Te: 0.3333 0.6667 0.0700 (multiplicity 2)
Te: 0.3333 0.6667 0.3476 (multiplicity 2)

***

This entry pairs a crystal structure of TiGeSb with its computed powder diffraction line list. Radiation: Cu Kα, 1.54184 Å. Structure: the GGA-PBE geometry in the Materials Project.

Largest 8 diffraction maxima, by angle, 2θ from 15° to 90°:
d/Å	2θ/deg	intensity	index
2.767	32.36	71	1 0 2
2.756	32.49	24	0 0 3
2.509	35.79	100	1 1 1
2.221	40.62	30	1 1 2
2.215	40.73	54	1 0 3
1.862	48.92	44	2 0 0
1.544	59.91	40	2 0 3
1.425	65.48	25	2 1 3

Crystal structure
a b c (Å): 3.724 3.724 8.269
angles (deg): 90.00 90.00 90.00
Space group P4/nmm (No. 129, origin choice 2)
Inequivalent atoms, fractional coordinates:
Ti: 0.250 0.250 0.248 (multiplicity 2)
Ge: 0.250 0.750 0.000 (multiplicity 2)
Sb: 0.250 0.250 0.616 (multiplicity 2)

***

This entry pairs a crystal structure of Ti20Ge9Sb3 with its computed powder diffraction line list. Radiation: Cu Kα, 1.54184 Å. Structure: the GGA-PBE geometry in the Materials Project.

Largest 8 diffraction maxima, by angle, 2θ from 15° to 90°:
d/Å	2θ/deg	intensity	index
3.111	28.69	32	1 1 3
2.625	34.15	47	0 2 0
2.277	39.57	100	2 1 4
2.267	39.77	56	3 1 1
2.235	40.36	34	0 0 6
2.220	40.64	56	3 0 -3
2.171	41.59	79	1 2 -3
2.167	41.69	35	2 2 0

Crystal structure
a b c (Å): 7.674 5.251 13.410
angles (deg): 90.00 90.01 90.00
Space group Pm (No. 6)
Inequivalent atoms, fractional coordinates:
Ti: 0.000 0.000 0.000 (multiplicity 1)
Ti: 0.006 0.000 0.744 (multiplicity 1)
Ti: 0.132 0.500 0.875 (multiplicity 1)
Ti: 0.147 0.000 0.382 (multiplicity 1)
Ti: 0.260 0.500 0.504 (multiplicity 1)
Ti: 0.262 0.500 0.250 (multiplicity 1)
Ti: 0.390 0.253 0.705 (multiplicity 2)
Ti: 0.394 0.256 0.042 (multiplicity 2)
Ti: 0.506 0.000 0.507 (multiplicity 1)
Ti: 0.517 0.000 0.245 (multiplicity 1)
Ti: 0.631 0.500 0.375 (multiplicity 1)
Ti: 0.649 0.000 0.875 (multiplicity 1)
Ti: 0.759 0.500 0.003 (multiplicity 1)
Ti: 0.761 0.500 0.747 (multiplicity 1)
Ti: 0.881 0.256 0.206 (multiplicity 2)
Ti: 0.889 0.253 0.546 (multiplicity 2)
Ge: 0.000 0.500 0.376 (multiplicity 1)
Ge: 0.082 0.500 0.068 (multiplicity 1)
Ge: 0.083 0.500 0.682 (multiplicity 1)
Ge: 0.190 0.000 0.572 (multiplicity 1)
Ge: 0.502 0.500 0.874 (multiplicity 1)
Ge: 0.580 0.500 0.182 (multiplicity 1)
Ge: 0.583 0.500 0.569 (multiplicity 1)
Ge: 0.690 0.000 0.070 (multiplicity 1)
Ge: 0.690 0.000 0.681 (multiplicity 1)
Sb: 0.190 0.000 0.180 (multiplicity 1)
Sb: 0.276 0.000 0.874 (multiplicity 1)
Sb: 0.778 0.000 0.377 (multiplicity 1)

***

This entry pairs a crystal structure of Tm5Ge2Sb2 with its computed powder diffraction line list. Radiation: Cu Kα, 1.54184 Å. Structure: the GGA-PBE geometry in the Materials Project.

Largest 8 diffraction maxima, by angle, 2θ from 15° to 90°:
d/Å	2θ/deg	intensity	index
3.495	25.49	32	0 2 1
2.865	31.21	59	3 1 2
2.765	32.38	35	0 2 2
2.703	33.14	66	4 2 0
2.632	34.06	42	5 1 1
2.554	35.14	69	4 2 1
2.440	36.83	100	1 3 1
2.275	39.62	26	5 1 2

Crystal structure
a b c (Å): 14.964 7.810 7.833
angles (deg): 90.00 90.00 90.00
Space group Cmce (No. 64)
Inequivalent atoms, fractional coordinates:
Tm: 0.000 0.000 0.000 (multiplicity 4)
Tm: 0.127 0.164 0.337 (multiplicity 16)
Ge: 0.000 0.139 0.638 (multiplicity 8)
Sb: 0.205 0.000 0.000 (multiplicity 8)

***

This entry pairs a crystal structure of Y5Ge2Sb2 with its computed powder diffraction line list. Radiation: Cu Kα, 1.54184 Å. Structure: the GGA-PBE geometry in the Materials Project.

Largest 8 diffraction maxima, by angle, 2θ from 15° to 90°:
d/Å	2θ/deg	intensity	index
2.908	30.75	58	3 1 2
2.807	31.88	45	0 2 2
2.744	32.63	56	4 2 0
2.672	33.54	48	5 1 1
2.593	34.59	61	4 2 1
2.477	36.27	100	1 3 1
1.935	46.95	30	5 3 1
1.775	51.48	26	0 2 4

Crystal structure
a b c (Å): 15.193 7.934 7.944
angles (deg): 90.00 90.00 90.00
Space group Cmce (No. 64)
Inequivalent atoms, fractional coordinates:
Y: 0.000 0.000 0.000 (multiplicity 4)
Y: 0.128 0.165 0.336 (multiplicity 16)
Ge: 0.000 0.138 0.637 (multiplicity 8)
Sb: 0.205 0.000 0.000 (multiplicity 8)

***

This entry pairs a crystal structure of ZrGeSb with its computed powder diffraction line list. Radiation: Cu Kα, 1.54184 Å. Structure: the GGA-PBE geometry in the Materials Project.

Largest 8 diffraction maxima, by angle, 2θ from 15° to 90°:
d/Å	2θ/deg	intensity	index
2.884	31.01	67	1 0 2
2.718	32.96	39	1 1 0
2.595	34.57	100	1 1 1
2.319	38.84	100	1 0 3
2.307	39.05	54	1 1 2
1.922	47.30	60	2 0 0
1.480	62.80	47	2 1 3
1.359	69.12	24	2 2 0

Crystal structure
a b c (Å): 3.843 3.843 8.723
angles (deg): 90.00 90.00 90.00
Space group P4/nmm (No. 129, origin choice 2)
Inequivalent atoms, fractional coordinates:
Zr: 0.250 0.250 0.250 (multiplicity 2)
Ge: 0.250 0.750 0.000 (multiplicity 2)
Sb: 0.250 0.250 0.611 (multiplicity 2)

***

This entry pairs a crystal structure of ScGe2 with its computed powder diffraction line list. Radiation: Cu Kα, 1.54184 Å. Structure: the GGA-PBE geometry in the Materials Project.

Largest 8 diffraction maxima, by angle, 2θ from 15° to 90°:
d/Å	2θ/deg	intensity	index
2.474	36.31	20	0 6 0
2.401	37.46	100	1 3 1
1.960	46.33	15	2 0 0
1.924	47.25	14	0 0 2
1.519	60.98	12	0 6 2
1.373	68.32	9	2 0 2
1.200	79.92	18	3 3 1
1.184	81.29	11	1 3 3

Crystal structure
a b c (Å): 3.920 14.846 3.848
angles (deg): 90.00 90.00 90.00
Space group Cmcm (No. 63)
Inequivalent atoms, fractional coordinates:
Sc: 0.000 0.101 0.250 (multiplicity 4)
Ge: 0.000 0.251 0.750 (multiplicity 4)
Ge: 0.000 0.440 0.250 (multiplicity 4)

***

This entry pairs a crystal structure of ScGe with its computed powder diffraction line list. Radiation: Cu Kα, 1.54184 Å. Structure: the GGA-PBE geometry in the Materials Project.

Largest 8 diffraction maxima, by angle, 2θ from 15° to 90°:
d/Å	2θ/deg	intensity	index
3.754	23.70	25	1 1 0
2.664	33.64	100	1 1 1
2.533	35.43	33	0 4 0
2.138	42.28	93	1 3 1
2.105	42.97	22	0 4 1
2.021	44.86	28	2 0 0
1.891	48.13	23	0 0 2
1.381	67.89	15	2 0 2

Crystal structure
a b c (Å): 4.041 10.134 3.781
angles (deg): 90.00 90.00 90.00
Space group Cmcm (No. 63)
Inequivalent atoms, fractional coordinates:
Sc: 0.000 0.136 0.250 (multiplicity 4)
Ge: 0.000 0.410 0.250 (multiplicity 4)

***

This entry pairs a crystal structure of TbScGe with its computed powder diffraction line list. Radiation: Cu Kα, 1.54184 Å. Structure: the GGA-PBE geometry in the Materials Project.

Largest 8 diffraction maxima, by angle, 2θ from 15° to 90°:
d/Å	2θ/deg	intensity	index
3.293	27.08	69	1 0 3
3.007	29.71	100	1 1 0
2.806	31.89	97	1 1 2
2.517	35.68	95	1 0 5
2.382	37.77	78	1 1 4
2.126	42.52	82	2 0 0
1.624	56.67	50	2 1 5
1.345	69.91	40	1 0 11

Crystal structure
a b c (Å): 4.252 4.252 15.610
angles (deg): 90.00 90.00 90.00
Space group I4/mmm (No. 139)
Inequivalent atoms, fractional coordinates:
Tb: 0.000 0.000 0.177 (multiplicity 4)
Sc: 0.000 0.500 0.000 (multiplicity 4)
Ge: 0.000 0.000 0.372 (multiplicity 4)

***

This entry pairs a crystal structure of TmScGe with its computed powder diffraction line list. Radiation: Cu Kα, 1.54184 Å. Structure: the GGA-PBE geometry in the Materials Project.

Largest 8 diffraction maxima, by angle, 2θ from 15° to 90°:
d/Å	2θ/deg	intensity	index
3.536	25.19	69	1 3 1
3.059	29.20	69	2 0 0
2.672	33.54	63	1 1 3
2.597	34.54	81	1 4 2
2.582	34.74	98	0 3 3
2.555	35.13	85	1 5 1
2.538	35.36	63	2 0 2
2.499	35.94	100	2 3 1

Crystal structure
a b c (Å): 6.118 14.781 9.096
angles (deg): 90.00 90.00 90.00
Space group Amm2 (No. 38)
Inequivalent atoms, fractional coordinates:
Tm: 0.000 0.000 0.000 (multiplicity 2)
Tm: 0.000 0.129 0.612 (multiplicity 4)
Tm: 0.500 0.000 0.446 (multiplicity 2)
Tm: 0.500 0.131 0.903 (multiplicity 4)
Sc: 0.251 0.156 0.245 (multiplicity 8)
Sc: 0.500 0.188 0.564 (multiplicity 4)
Ge: 0.000 0.000 0.346 (multiplicity 2)
Ge: 0.000 0.201 0.957 (multiplicity 4)
Ge: 0.290 0.000 0.727 (multiplicity 4)
Ge: 0.500 0.000 0.134 (multiplicity 2)

***

This entry pairs a crystal structure of Sc2V3Ge4 with its computed powder diffraction line list. Radiation: Cu Kα, 1.54184 Å. Structure: the GGA-PBE geometry in the Materials Project.

Largest 8 diffraction maxima, by angle, 2θ from 15° to 90°:
d/Å	2θ/deg	intensity	index
2.465	36.44	100	1 3 2
2.444	36.78	84	2 3 1
2.330	38.64	50	0 4 2
2.252	40.03	33	1 5 1
2.196	41.10	37	1 4 2
2.181	41.40	39	2 4 1
2.112	42.82	53	1 1 3
2.104	43.00	84	3 0 1

Crystal structure
a b c (Å): 6.637 12.795 6.786
angles (deg): 90.00 90.00 90.00
Space group Pnma (No. 62)
Inequivalent atoms, fractional coordinates:
Sc: 0.009 0.093 0.174 (multiplicity 8)
V: 0.159 0.627 0.334 (multiplicity 8)
V: 0.164 0.250 0.515 (multiplicity 4)
Ge: 0.036 0.250 0.878 (multiplicity 4)
Ge: 0.178 0.043 0.542 (multiplicity 8)
Ge: 0.189 0.750 0.646 (multiplicity 4)

***

This entry pairs a crystal structure of ScV5Ge5 with its computed powder diffraction line list. Radiation: Cu Kα, 1.54184 Å. Structure: the GGA-PBE geometry in the Materials Project.

Largest 8 diffraction maxima, by angle, 2θ from 15° to 90°:
d/Å	2θ/deg	intensity	index
2.544	35.29	39	0 2 0
2.344	38.40	54	6 0 -3
2.313	38.94	48	5 1 1
2.258	39.92	100	6 0 1
2.223	40.58	92	5 1 -3
2.214	40.76	89	2 2 1
2.128	42.48	46	2 2 -2
1.156	83.62	27	12 2 -5

Crystal structure
a b c (Å): 18.261 5.087 7.771
angles (deg): 90.00 115.13 90.00
Space group C2/m (No. 12)
Inequivalent atoms, fractional coordinates:
Sc: 0.143 0.000 0.031 (multiplicity 4)
V: 0.064 0.500 0.805 (multiplicity 4)
V: 0.065 0.000 0.320 (multiplicity 4)
V: 0.144 0.500 0.259 (multiplicity 4)
V: 0.191 0.252 0.690 (multiplicity 8)
Ge: 0.000 0.254 0.000 (multiplicity 4)
Ge: 0.066 0.000 0.654 (multiplicity 4)
Ge: 0.068 0.500 0.470 (multiplicity 4)
Ge: 0.211 0.500 0.013 (multiplicity 4)
Ge: 0.214 0.000 0.420 (multiplicity 4)